Entry 1:
This entry pairs a crystal structure of Ac2CeP3Rh4 with its simulated powder X-ray diffraction pattern. Radiation: Cu Ka. Structure: a PBE-relaxed structure.
Kinematic intensities with the Lorentz-polarization factor, no thermal factor.

The 12 most intense peaks (2θ from 5° to 70°), in order of rising 2θ:
d = 3.925 Å, I = 19; d = 3.349 Å, I = 17; d = 2.966 Å, I = 10; d = 2.779 Å, I = 47; d = 2.617 Å, I = 100; d = 2.318 Å, I = 15; d = 2.097 Å, I = 39; d = 1.966 Å, I = 20; d = 1.674 Å, I = 27; d = 1.555 Å, I = 9; d = 1.483 Å, I = 13; d = 1.434 Å, I = 14

Structural model:
```
data_Ac2CeP3Rh4
_space_group_name_H-M_alt 'P -4 m 2'
_space_group_IT_number 115
_space_group_name_Hall 'P -4 -2'
_cell_length_a 4.1949
_cell_length_b 4.1949
_cell_length_c 11.1257
_cell_angle_alpha 90.00
_cell_angle_beta 90.00
_cell_angle_gamma 90.00
loop_
_atom_site_label
_atom_site_type_symbol
_atom_site_fract_x
_atom_site_fract_y
_atom_site_fract_z
_atom_site_occupancy
Ac1 Ac 0.0000 0.5000 0.2287 1
Ce1 Ce 0.0000 0.0000 0.5000 1
P1 P 0.0000 0.5000 0.8800 1
P2 P 0.5000 0.5000 0.5000 1
Rh1 Rh 0.0000 0.0000 0.0000 1
Rh2 Rh 0.0000 0.5000 0.6604 1
Rh3 Rh 0.5000 0.5000 0.0000 1
```

Entry 2:
This entry pairs a crystal structure of Co3Ag with its simulated powder X-ray diffraction pattern. Radiation: Cu Ka. Structure: a PBE-relaxed structure.
Kinematic intensities with the Lorentz-polarization factor, no thermal factor.

The 12 most intense peaks (2θ from 5° to 70°), in order of rising 2θ:
d = 3.251 Å, I = 10; d = 3.125 Å, I = 8; d = 2.678 Å, I = 14; d = 2.361 Å, I = 7; d = 2.276 Å, I = 36; d = 2.150 Å, I = 8; d = 2.084 Å, I = 44; d = 2.054 Å, I = 64; d = 1.998 Å, I = 100; d = 1.537 Å, I = 19; d = 1.496 Å, I = 5; d = 1.346 Å, I = 13

Structural model:
```
data_Co3Ag
_space_group_name_H-M_alt 'P m m n'
_space_group_IT_number 59
_cell_length_a 4.1681
_cell_length_b 5.1951
_cell_length_c 4.7222
_cell_angle_alpha 90.00
_cell_angle_beta 90.00
_cell_angle_gamma 90.00
loop_
_space_group_symop_operation_xyz
'x,y,z'
'-x,-y,-z'
'-x+1/2,-y+1/2,z'
'x+1/2,y+1/2,-z'
'x+1/2,-y,-z'
'-x+1/2,y,z'
'-x,y+1/2,-z'
'x,-y+1/2,z'
loop_
_atom_site_label
_atom_site_type_symbol
_atom_site_fract_x
_atom_site_fract_y
_atom_site_fract_z
_atom_site_occupancy
Co1 Co 0.2500 0.0028 0.1412 1
Co2 Co 0.2500 0.7500 0.7133 1
Ag1 Ag 0.2500 0.2500 0.6368 1
```

Entry 3:
This entry pairs a crystal structure of CaHg2Pd3 with its simulated powder X-ray diffraction pattern. Radiation: Cu Ka. Structure: a PBE-relaxed structure.
Kinematic intensities with the Lorentz-polarization factor, no thermal factor.

The 12 most intense peaks (2θ from 5° to 70°), in order of rising 2θ:
d = 11.667 Å, I = 7; d = 5.833 Å, I = 2; d = 4.114 Å, I = 2; d = 3.882 Å, I = 12; d = 3.362 Å, I = 4; d = 2.377 Å, I = 100; d = 2.027 Å, I = 6; d = 1.681 Å, I = 17; d = 1.541 Å, I = 2; d = 1.503 Å, I = 2; d = 1.375 Å, I = 9; d = 1.372 Å, I = 26

Structural model:
```
data_CaHg2Pd3
_space_group_name_H-M_alt 'P -3 m 1'
_space_group_IT_number 164
_space_group_name_Hall '-P 3 2"'
_cell_length_a 4.7504
_cell_length_b 4.7504
_cell_length_c 11.6666
_cell_angle_alpha 90.00
_cell_angle_beta 90.00
_cell_angle_gamma 120.00
loop_
_atom_site_label
_atom_site_type_symbol
_atom_site_fract_x
_atom_site_fract_y
_atom_site_fract_z
_atom_site_occupancy
Ca1 Ca 0.3333 0.6667 0.1702 1
Hg1 Hg 0.0000 0.0000 0.0000 1
Hg2 Hg 0.0000 0.0000 0.5000 1
Hg3 Hg 0.3333 0.6667 0.6705 1
Pd1 Pd 0.0000 0.0000 0.2581 1
Pd2 Pd 0.3333 0.6667 0.4247 1
Pd3 Pd 0.3333 0.6667 0.9197 1
```

Copy entry 1 word for word.
This entry pairs a crystal structure of Ac2CeP3Rh4 with its simulated powder X-ray diffraction pattern. Radiation: Cu Ka. Structure: a PBE-relaxed structure.
Kinematic intensities with the Lorentz-polarization factor, no thermal factor.

The 12 most intense peaks (2θ from 5° to 70°), in order of rising 2θ:
d = 3.925 Å, I = 19; d = 3.349 Å, I = 17; d = 2.966 Å, I = 10; d = 2.779 Å, I = 47; d = 2.617 Å, I = 100; d = 2.318 Å, I = 15; d = 2.097 Å, I = 39; d = 1.966 Å, I = 20; d = 1.674 Å, I = 27; d = 1.555 Å, I = 9; d = 1.483 Å, I = 13; d = 1.434 Å, I = 14

Structural model:
```
data_Ac2CeP3Rh4
_space_group_name_H-M_alt 'P -4 m 2'
_space_group_IT_number 115
_space_group_name_Hall 'P -4 -2'
_cell_length_a 4.1949
_cell_length_b 4.1949
_cell_length_c 11.1257
_cell_angle_alpha 90.00
_cell_angle_beta 90.00
_cell_angle_gamma 90.00
loop_
_atom_site_label
_atom_site_type_symbol
_atom_site_fract_x
_atom_site_fract_y
_atom_site_fract_z
_atom_site_occupancy
Ac1 Ac 0.0000 0.5000 0.2287 1
Ce1 Ce 0.0000 0.0000 0.5000 1
P1 P 0.0000 0.5000 0.8800 1
P2 P 0.5000 0.5000 0.5000 1
Rh1 Rh 0.0000 0.0000 0.0000 1
Rh2 Rh 0.0000 0.5000 0.6604 1
Rh3 Rh 0.5000 0.5000 0.0000 1
```